For Tb5TlTe8, a structure optimized by DFT (PBE) gives the simulated powder diffraction line list in this record (CuKα).
No peak broadening, texture or thermal motion is included.

```
data_Tb5TlTe8
_chemical_formula_sum 'Tb20 Tl4 Te32'
_symmetry_space_group_name_H-M 'F -4 3 m'
_symmetry_Int_Tables_number 216
_symmetry_space_group_name_Hall 'F -4 2 3'
_cell_length_a 13.0331
_cell_length_b 13.0331
_cell_length_c 13.0331
_cell_angle_alpha 90.00
_cell_angle_beta 90.00
_cell_angle_gamma 90.00
loop_
_atom_site_label
_atom_site_type_symbol
_atom_site_fract_x
_atom_site_fract_y
_atom_site_fract_z
Tb1 Tb 0.0000 0.0000 0.0000
Tb2 Tb 0.1206 0.1206 0.3794
Tl1 Tl 0.2500 0.2500 0.7500
Te1 Te 0.1119 0.1119 0.6119
Te2 Te 0.1330 0.1330 0.1330
```

Peak list (10 most intense, 2θ from 10° to 80°, most intense first)
2θ 39.10, rel. 100; 2θ 22.63, rel. 65; 2θ 27.37, rel. 54; 2θ 35.80, rel. 46; 2θ 70.84, rel. 30; 2θ 19.26, rel. 24; 2θ 54.05, rel. 17; 2θ 75.45, rel. 16; 2θ 56.49, rel. 16; 2θ 63.88, rel. 15